Theoretical powder diffractogram of Pm12DyHo5 for Cu Kα (weighted mean of Kα1 and Kα2), from a PBE-relaxed structure.
Neutral-atom scattering factors, no anomalous dispersion.

a b c (Å): 10.5852 10.5852 5.9778
angles (deg): 90.01 90.01 116.34
Fractional positions:
Pm1 0.0063 0.6714 0.9941
Pm2 0.1623 0.1623 0.4940
Pm3 0.1716 0.5058 0.5058
Pm4 0.3286 0.9937 0.0059
Pm5 0.3376 0.3376 0.9940
Pm6 0.4942 0.8284 0.4942
Pm7 0.5058 0.1716 0.5058
Pm8 0.6624 0.6624 0.0060
Pm9 0.6714 0.0063 0.9941
Pm10 0.8284 0.4942 0.4942
Pm11 0.8377 0.8377 0.5060
Pm12 0.9937 0.3286 0.0059
Dy1 0.0000 0.0000 0.0000
Ho1 0.1661 0.8339 0.5000
Ho2 0.3341 0.6659 0.0000
Ho3 0.5000 0.5000 0.5000
Ho4 0.6659 0.3341 0.0000
Ho5 0.8339 0.1661 0.5000

Main lines, most intense first (5° ≤ 2θ ≤ 70°):
2θ/deg  I/Imax
32.02  100
29.85  60
42.72  23
54.32  23
54.43  22
58.39  18